No. 1
This entry pairs a crystal structure of SmHoCl6 with its calculated XRD peak list. Radiation: Cu Kα (λ = 1.5418 Å). Structure: DFT lattice parameters and positions (GGA-PBE).
Lines closer than 0.1° are merged.

Crystal structure
Cell: 6.7882 6.7882 18.5166 Å, 90.00 90.00 120.00°
Space group R-3 (No. 148, hexagonal axes)
Unique sites:
Sm (0.0000, 0.0000, 0.0000) [3 per cell]
Ho (0.0000, 0.0000, 0.5000) [3 per cell]
Cl (0.0061, 0.6489, 0.2487) [18 per cell]

The 12 most intense peaks (2θ from 5° to 70°), by intensity:
d_spacing	Rel. int.
4.963	100.0
2.283	43.0
3.637	38.2
2.161	20.2
1.960	20.0
2.481	19.0
2.974	18.3
2.802	17.1
2.003	17.0
3.394	14.9
1.487	10.4
1.606	10.2

***

No. 2
This entry pairs a crystal structure of SrHoCl5 with its calculated XRD peak list. Radiation: Cu Kα (λ = 1.5418 Å). Structure: DFT lattice parameters and positions (GGA-PBE).
Lines closer than 0.1° are merged.

Crystal structure
Cell: 7.1570 13.4303 10.0248 Å, 90.00 109.58 90.00°
Space group P2_1/c (No. 14)
Unique sites:
Sr (0.0359, 0.0209, 0.2570) [4 per cell]
Ho (0.3938, 0.2438, 0.6024) [4 per cell]
Cl (0.0797, 0.1210, 0.5530) [4 per cell]
Cl (0.1406, 0.1081, 0.9962) [4 per cell]
Cl (0.3038, 0.6462, 0.3692) [4 per cell]
Cl (0.3558, 0.1857, 0.3406) [4 per cell]
Cl (0.3926, 0.5919, 0.7875) [4 per cell]

The 12 most intense peaks (2θ from 5° to 70°), by intensity:
d_spacing	Rel. int.
4.758	100.0
4.455	53.4
6.026	49.1
2.693	45.4
4.414	44.2
2.227	33.6
2.380	32.6
2.506	24.4
2.361	23.4
6.722	21.1
2.251	18.6
3.863	18.1

***

No. 3
This entry pairs a crystal structure of HoV2Cl8 with its calculated XRD peak list. Radiation: Cu Kα (λ = 1.5418 Å). Structure: DFT lattice parameters and positions (GGA-PBE).
Lines closer than 0.1° are merged.

Crystal structure
Cell: 12.4233 9.5356 6.2826 Å, 90.00 93.31 90.00°
Space group C2/m (No. 12)
Unique sites:
Ho (0.0000, 0.0000, 0.0000) [2 per cell]
V (0.2051, 0.0000, 0.6439) [4 per cell]
Cl (0.0994, 0.1837, 0.7630) [8 per cell]
Cl (0.1281, 0.5000, 0.2206) [4 per cell]
Cl (0.1727, 0.0000, 0.2704) [4 per cell]

The 12 most intense peaks (2θ from 5° to 70°), by intensity:
d_spacing	Rel. int.
7.560	100.0
4.756	74.0
3.289	46.0
3.172	21.3
4.288	20.8
2.368	18.1
1.955	17.9
2.456	13.9
2.213	11.3
2.357	11.1
2.401	10.4
4.543	9.5

***

No. 4
This entry pairs a crystal structure of I4Cl with its calculated XRD peak list. Radiation: Cu Kα (λ = 1.5418 Å). Structure: DFT lattice parameters and positions (GGA-PBE).
Lines closer than 0.1° are merged.

Crystal structure
Cell: 6.4389 8.9149 11.9824 Å, 68.41 85.82 78.43°
Space group P1 (No. 1)
Unique sites:
I (0.0000, 0.0000, 0.0000) [1 per cell]
I (0.0285, 0.4831, 0.0131) [1 per cell]
I (0.0636, 0.3149, 0.8309) [1 per cell]
I (0.1902, 0.6149, 0.6222) [1 per cell]
I (0.3088, 0.0618, 0.3345) [1 per cell]
I (0.4803, 0.1926, 0.4980) [1 per cell]
I (0.6462, 0.0500, 0.1660) [1 per cell]
I (0.8483, 0.8806, 0.5741) [1 per cell]
Cl (0.0027, 0.6132, 0.1636) [1 per cell]
Cl (0.6086, 0.3094, 0.6352) [1 per cell]

The 12 most intense peaks (2θ from 5° to 70°), by intensity:
d_spacing	Rel. int.
5.497	100.0
8.129	70.2
4.510	52.1
3.964	29.6
3.443	25.4
3.233	25.3
5.655	23.4
3.513	21.4
2.771	21.3
3.159	20.5
2.466	19.8
5.571	19.4